# 1
Simulated powder XRD pattern of Dy5Ho2Lu for Cu Kα (λ = 1.5418 Å), from a cell relaxed with GGA-PBE.
No peak broadening, texture or thermal motion is included.

Peak list (10 most intense, 10 to 90 degrees two-theta, by angle)
2theta, d [Å], Rel. int.
28.7, 3.110, 23.9
32.1, 2.792, 23.9
33.0, 2.717, 100.0
43.6, 2.078, 15.5
50.8, 1.796, 19.8
57.7, 1.597, 20.4
61.4, 1.510, 22.5
61.9, 1.498, 16.5
84.2, 1.150, 14.2
88.8, 1.102, 8.5

Cell and atoms:
```
Dy5Ho2Lu
1.0
5.5834 0.0000 0.0000
0.0000 3.5919 6.2203
0.0000 -3.5919 6.2203
Dy Ho Lu
5 2 1
Direct
0.0000 0.0000 0.0000
0.0000 0.0003 0.4998
0.0000 0.4998 0.0003
0.5000 0.1662 0.6676
0.5000 0.6676 0.1662
0.0000 0.5000 0.5000
0.5000 0.1662 0.1662
0.5000 0.6668 0.6668
```

# 2
Simulated powder XRD pattern of MoI3BrCl for Cu Kα (λ = 1.5418 Å), from a cell relaxed with GGA-PBE.
No peak broadening, texture or thermal motion is included.

Peak list (10 most intense, 10 to 90 degrees two-theta, by angle)
2theta, d [Å], Rel. int.
14.0, 6.344, 44.1
14.4, 6.166, 54.9
19.4, 4.567, 37.2
28.1, 3.172, 64.0
28.7, 3.112, 86.6
28.8, 3.096, 40.4
29.4, 3.041, 47.8
29.9, 2.992, 100.0
30.2, 2.963, 82.2
45.7, 1.986, 65.1

Cell and atoms:
```
MoI3BrCl
1.0
6.8998 0.0000 0.0000
-3.1101 6.7512 0.0000
-0.3071 -3.3618 9.3006
Mo I Br Cl
2 6 2 2
Direct
0.1017 0.2077 0.2088
0.8983 0.7923 0.7912
0.0733 0.8130 0.5585
0.1306 0.6155 0.8670
0.4497 0.5658 0.3329
0.5503 0.4342 0.6671
0.8694 0.3845 0.1330
0.9267 0.1870 0.4415
0.2292 0.1683 0.9532
0.7708 0.8317 0.0468
0.2743 0.0090 0.2387
0.7257 0.9910 0.7613
```

# 3
Simulated powder XRD pattern of Li8Zn3 for Cu Kα (λ = 1.5418 Å), from a cell relaxed with GGA-PBE.
No peak broadening, texture or thermal motion is included.

Peak list (10 most intense, 10 to 90 degrees two-theta, by angle)
2theta, d [Å], Rel. int.
23.9, 3.722, 100.0
26.1, 3.413, 39.9
27.1, 3.292, 21.8
31.4, 2.846, 19.6
40.6, 2.220, 49.5
40.9, 2.206, 48.2
46.3, 1.961, 18.3
47.7, 1.907, 15.2
49.5, 1.841, 24.0
59.0, 1.565, 15.7

Cell and atoms:
```
Li8Zn3
1.0
3.8428 -2.2220 0.0000
3.8428 2.2220 0.0000
-2.5718 0.0000 9.8763
Li Zn
8 3
Direct
0.0910 0.0910 0.2723
0.1799 0.1799 0.5404
0.2712 0.2712 0.8136
0.3643 0.3643 0.0927
0.6357 0.6357 0.9073
0.7288 0.7288 0.1864
0.8201 0.8201 0.4596
0.9090 0.9090 0.7277
0.0000 0.0000 0.0000
0.4565 0.4565 0.3685
0.5435 0.5435 0.6315
```